Calculated powder XRD pattern of Li5Nb2V3O10 for CuKα, from DFT lattice parameters and positions (GGA+U).
Lines closer than 0.1° are merged.

Crystal structure
```
20
Lattice="5.240 0.000 0.000 1.003 5.162 0.000 2.464 1.955 7.269" Properties=species:S:1:pos:R:3 pbc="T T T"
Li 0.000 0.000 0.000
Li 1.763 3.198 2.080
Li 4.168 4.439 6.568
Li 4.538 2.678 0.700
Li 6.944 3.919 5.189
Nb 2.586 0.389 1.284
Nb 6.121 6.728 5.985
V 2.496 1.195 4.351
V 4.353 3.558 3.634
V 6.210 5.921 2.917
O 0.974 1.509 1.131
O 2.729 4.722 3.182
O 3.518 2.755 5.426
O 2.640 3.950 0.335
O 3.485 1.979 2.579
O 5.221 5.138 4.690
O 6.067 3.166 6.934
O 5.188 4.361 1.843
O 5.977 2.394 4.086
O 7.732 5.607 6.137
```

The 12 most intense peaks (2θ = 5–70°), in order of falling intensity:
2θ/deg, I/Imax
42.77, 100
17.79, 98
17.91, 55
41.05, 55
22.12, 33
60.79, 29
36.01, 25
36.66, 22
29.34, 18
35.28, 18
59.88, 17
34.34, 16

---

Calculated powder XRD pattern of La2MoO6 for CuKα, from DFT lattice parameters and positions (GGA+U).
Lines closer than 0.1° are merged.

Crystal structure
```
9
Lattice="2.959 1.708 4.395 -2.959 1.708 4.395 0.000 -3.416 4.395" Properties=species:S:1:pos:R:3 pbc="T T T"
La 0.000 0.000 3.246
La 0.000 0.000 9.939
Mo 0.000 0.000 6.592
O -0.613 -1.465 5.488
O -1.575 -0.202 7.696
O -0.962 1.263 5.488
O 0.962 -1.263 7.696
O 1.575 0.202 5.488
O 0.613 1.465 7.696
```

The 12 most intense peaks (2θ = 5–70°), in order of falling intensity:
2θ/deg, I/Imax
30.21, 100
32.29, 93
44.80, 52
21.97, 47
54.99, 46
18.58, 38
53.65, 30
37.66, 24
36.61, 20
58.86, 16
49.02, 15
67.58, 14